This entry pairs a crystal structure of RbCuTe2As with its simulated powder diffraction line list. Radiation: λ = 1.5418 Å (Cu Kα). Structure: a GGA-PBE-relaxed structure.
No peak broadening, texture or thermal motion is included.

Most intense lines, 2θ from 10° to 90°, most intense first:
- 30.55 deg, rel. 100.0
- 27.17 deg, rel. 98.0
- 24.56 deg, rel. 97.0
- 11.04 deg, rel. 74.1
- 26.35 deg, rel. 58.9
- 28.67 deg, rel. 50.8
- 44.07 deg, rel. 47.1
- 38.05 deg, rel. 46.6
- 45.28 deg, rel. 45.5
- 35.82 deg, rel. 35.7

Cell and atoms:
```
RbCuTe2As
1.0
8.513 0.000 0.000
0.000 4.285 0.000
-3.138 0.000 8.730
Rb Cu Te As
2 2 4 2
Direct
0.000 0.086 0.250
0.000 0.914 0.750
0.500 0.000 0.000
0.500 0.000 0.500
0.286 0.370 0.059
0.286 0.630 0.559
0.714 0.370 0.441
0.714 0.630 0.941
0.500 0.209 0.750
0.500 0.791 0.250
```

---

This entry pairs a crystal structure of Cu2ReAs with its simulated powder diffraction line list. Radiation: λ = 1.5418 Å (Cu Kα). Structure: a GGA-PBE-relaxed structure.
No peak broadening, texture or thermal motion is included.

Most intense lines, 2θ from 10° to 90°, most intense first:
- 41.34 deg, rel. 100.0
- 49.20 deg, rel. 30.0
- 26.57 deg, rel. 26.1
- 86.70 deg, rel. 23.0
- 69.53 deg, rel. 20.7
- 45.87 deg, rel. 18.5
- 81.75 deg, rel. 13.2
- 89.82 deg, rel. 10.7
- 72.14 deg, rel. 9.3
- 22.47 deg, rel. 8.3

Cell and atoms:
```
Cu2ReAs
1.0
-1.852 1.852 3.957
1.852 -1.852 3.957
1.852 1.852 -3.957
Cu Re As
2 1 1
Direct
0.000 0.000 0.000
0.750 0.250 0.500
0.250 0.750 0.500
0.500 0.500 0.000
```

---

This entry pairs a crystal structure of CuAs2Rh with its simulated powder diffraction line list. Radiation: λ = 1.5418 Å (Cu Kα). Structure: a GGA-PBE-relaxed structure.
No peak broadening, texture or thermal motion is included.

Most intense lines, 2θ from 10° to 90°, most intense first:
- 39.20 deg, rel. 100.0
- 13.94 deg, rel. 60.6
- 37.61 deg, rel. 56.9
- 41.66 deg, rel. 42.5
- 49.85 deg, rel. 31.9
- 53.14 deg, rel. 26.2
- 50.21 deg, rel. 24.0
- 28.10 deg, rel. 20.3
- 67.23 deg, rel. 19.5
- 76.13 deg, rel. 17.5

Cell and atoms:
```
CuAs2Rh
1.0
2.967 0.000 0.000
0.000 3.634 0.000
0.000 0.000 6.352
Cu As Rh
1 2 1
Direct
0.000 0.000 0.000
0.000 0.000 0.405
0.500 0.500 0.842
0.500 0.500 0.239
```